The following is a computed powder XRD pattern of Pm3Ga3Cu. It was derived from a cell relaxed with GGA-PBE, using Cu Kα X-rays.
Intensities are scaled so that the largest is 100.

```
14
Lattice="5.386 -2.230 0.000 5.386 2.230 0.000 -5.365 0.000 13.726" Properties=species:S:1:pos:R:3 pbc="T T T"
Pm -1.534 0.000 5.293
Pm -3.847 0.000 12.666
Pm 1.472 0.000 3.166
Pm 3.936 0.000 10.560
Pm 9.254 0.000 1.060
Pm 6.941 0.000 8.433
Ga 1.509 0.000 6.271
Ga -0.755 0.000 12.673
Ga 0.808 0.000 10.528
Ga 4.600 0.000 3.198
Ga 6.163 0.000 1.053
Ga 3.899 0.000 7.455
Cu -0.588 0.000 8.319
Cu 5.996 0.000 5.407
```

Top 8 peaks for 2θ from 10° to 90°, by angle:
| 2θ/deg | d_spacing | I_rel |
| --- | --- | --- |
| 25.5 | 3.487 | 17 |
| 31.5 | 2.841 | 100 |
| 32.2 | 2.782 | 51 |
| 33.3 | 2.693 | 30 |
| 39.4 | 2.288 | 18 |
| 39.6 | 2.278 | 51 |
| 40.5 | 2.230 | 38 |
| 54.4 | 1.685 | 18 |

***

The following is a computed powder XRD pattern of SmTmAgHg. It was derived from a cell relaxed with GGA-PBE, using Cu Kα X-rays.
Intensities are scaled so that the largest is 100.

```
4
Lattice="0.000 3.694 3.694 3.694 0.000 3.694 3.694 3.694 0.000" Properties=species:S:1:pos:R:3 pbc="T T T"
Sm 0.000 0.000 0.000
Tm 3.694 3.694 3.694
Ag 5.540 5.540 5.540
Hg 1.847 1.847 1.847
```

Top 8 peaks for 2θ from 10° to 90°, by angle:
| 2θ/deg | d_spacing | I_rel |
| --- | --- | --- |
| 20.8 | 4.265 | 4 |
| 34.3 | 2.612 | 100 |
| 40.5 | 2.227 | 3 |
| 49.3 | 1.847 | 18 |
| 54.1 | 1.695 | 1 |
| 61.5 | 1.508 | 37 |
| 72.4 | 1.306 | 11 |
| 82.6 | 1.168 | 16 |

***

The following is a computed powder XRD pattern of Th3TlRu. It was derived from a cell relaxed with GGA-PBE, using Cu Kα X-rays.
Intensities are scaled so that the largest is 100.

```
20
Lattice="12.297 0.000 0.000 0.000 6.932 0.000 0.000 0.000 6.589" Properties=species:S:1:pos:R:3 pbc="T T T"
Th 0.102 1.733 0.000
Th 0.102 1.733 3.294
Th 2.980 0.038 1.647
Th 2.980 3.428 4.942
Th 5.621 0.617 4.942
Th 5.621 2.849 1.647
Th 6.676 4.083 4.942
Th 6.676 6.315 1.647
Th 9.316 3.504 1.647
Th 9.316 6.894 4.942
Th 12.194 5.199 0.000
Th 12.194 5.199 3.294
Tl 2.392 3.592 1.647
Tl 2.392 6.806 4.942
Tl 9.905 0.126 1.647
Tl 9.905 3.340 4.942
Ru 4.579 5.199 0.000
Ru 4.579 5.199 3.294
Ru 7.718 1.733 0.000
Ru 7.718 1.733 3.294
```

Top 8 peaks for 2θ from 10° to 90°, by angle:
| 2θ/deg | d_spacing | I_rel |
| --- | --- | --- |
| 28.7 | 3.110 | 38 |
| 29.1 | 3.073 | 37 |
| 29.6 | 3.019 | 68 |
| 30.8 | 2.904 | 39 |
| 33.9 | 2.647 | 60 |
| 34.9 | 2.568 | 74 |
| 37.7 | 2.388 | 100 |
| 55.8 | 1.648 | 49 |

***

The following is a computed powder XRD pattern of TiGeP2Ru. It was derived from a cell relaxed with GGA-PBE, using Cu Kα X-rays.
Intensities are scaled so that the largest is 100.

```
5
Lattice="4.538 0.000 0.000 0.000 4.538 0.000 0.000 0.000 4.654" Properties=species:S:1:pos:R:3 pbc="T T T"
Ti 0.000 0.000 0.000
Ge 0.000 0.000 2.327
P 0.000 2.269 2.327
P 2.269 0.000 2.327
Ru 2.269 2.269 0.000
```

Top 8 peaks for 2θ from 10° to 90°, by angle:
| 2θ/deg | d_spacing | I_rel |
| --- | --- | --- |
| 27.4 | 3.249 | 100 |
| 27.8 | 3.209 | 76 |
| 33.9 | 2.642 | 63 |
| 38.7 | 2.327 | 48 |
| 39.7 | 2.269 | 88 |
| 48.3 | 1.884 | 33 |
| 49.0 | 1.860 | 41 |
| 56.7 | 1.625 | 60 |

***

The following is a computed powder XRD pattern of Ca3Bi2I. It was derived from a cell relaxed with GGA-PBE, using Cu Kα X-rays.
Intensities are scaled so that the largest is 100.

```
24
Lattice="3.270 -8.409 0.000 3.270 8.409 0.000 -3.203 0.000 15.819" Properties=species:S:1:pos:R:3 pbc="T T T"
Ca 0.868 8.286 11.864
Ca 1.487 3.524 1.934
Ca -0.051 1.378 7.785
Ca -1.652 -1.378 15.694
Ca 0.868 2.266 11.864
Ca -0.114 -3.524 9.843
Ca 3.451 3.524 5.976
Ca 2.469 -2.266 3.955
Ca 4.989 1.378 0.125
Ca 3.388 -1.378 8.034
Ca 1.850 -3.524 13.885
Ca 2.469 -8.286 3.955
Bi -0.076 5.061 10.615
Bi -1.464 1.814 14.571
Bi 0.138 -1.814 6.662
Bi 1.811 5.061 13.113
Bi 1.525 -5.061 2.706
Bi 3.199 1.814 9.157
Bi 4.800 -1.814 1.248
Bi 3.413 -5.061 5.204
I 1.680 0.385 2.342
I 0.078 -0.385 10.251
I 3.258 0.385 5.567
I 1.657 -0.385 13.477
```

Top 8 peaks for 2θ from 10° to 90°, by angle:
| 2θ/deg | d_spacing | I_rel |
| --- | --- | --- |
| 20.3 | 4.384 | 41 |
| 21.1 | 4.217 | 59 |
| 22.5 | 3.946 | 100 |
| 25.2 | 3.535 | 55 |
| 27.9 | 3.202 | 90 |
| 32.4 | 2.760 | 50 |
| 33.1 | 2.710 | 40 |
| 44.1 | 2.055 | 54 |

***

The following is a computed powder XRD pattern of Nb3ZnFe8. It was derived from a cell relaxed with GGA-PBE, using Cu Kα X-rays.
Intensities are scaled so that the largest is 100.

```
12
Lattice="2.403 1.387 7.828 -2.403 1.387 7.828 0.000 -2.775 7.828" Properties=species:S:1:pos:R:3 pbc="T T T"
Nb 0.000 0.000 0.000
Nb 0.000 0.000 2.976
Nb 0.000 0.000 11.903
Zn 0.000 0.000 14.779
Fe -1.202 -0.694 9.359
Fe 0.000 -1.384 5.444
Fe -1.199 0.692 5.444
Fe 0.000 0.000 7.401
Fe 1.199 0.692 5.444
Fe 1.202 -0.694 9.359
Fe 0.000 1.388 9.359
Fe 0.000 0.000 19.139
```

Top 8 peaks for 2θ from 10° to 90°, by angle:
| 2θ/deg | d_spacing | I_rel |
| --- | --- | --- |
| 37.5 | 2.401 | 44 |
| 44.2 | 2.048 | 100 |
| 46.3 | 1.962 | 20 |
| 67.5 | 1.387 | 11 |
| 72.3 | 1.307 | 21 |
| 72.4 | 1.306 | 7 |
| 79.8 | 1.202 | 11 |
| 80.0 | 1.200 | 11 |

***

The following is a computed powder XRD pattern of LiPb. It was derived from a cell relaxed with GGA-PBE, using Cu Kα X-rays.
Intensities are scaled so that the largest is 100.

```
4
Lattice="-1.854 2.414 5.244 1.854 -2.414 5.244 1.854 2.414 -5.244" Properties=species:S:1:pos:R:3 pbc="T T T"
Li 0.000 1.207 1.359
Li 1.854 1.207 3.885
Pb 1.854 1.207 -1.209
Pb 0.000 1.207 6.453
```

Top 8 peaks for 2θ from 10° to 90°, by angle:
| 2θ/deg | d_spacing | I_rel |
| --- | --- | --- |
| 20.2 | 4.386 | 76 |
| 25.5 | 3.496 | 57 |
| 31.6 | 2.832 | 41 |
| 34.2 | 2.622 | 25 |
| 35.0 | 2.565 | 100 |
| 37.2 | 2.414 | 21 |
| 45.7 | 1.987 | 25 |
| 61.7 | 1.503 | 18 |

***

The following is a computed powder XRD pattern of BC3. It was derived from a cell relaxed with GGA-PBE, using Cu Kα X-rays.
Intensities are scaled so that the largest is 100.

```
12
Lattice="2.609 0.000 0.000 -1.305 2.260 0.000 0.000 0.000 14.117" Properties=species:S:1:pos:R:3 pbc="T T T"
B 0.000 0.000 0.000
B 0.000 0.000 3.514
B 0.000 0.000 9.567
C 0.000 0.000 7.953
C 0.000 1.506 3.725
C 0.000 1.506 5.381
C 0.000 1.506 10.240
C 0.000 1.506 11.743
C 1.305 0.753 5.885
C 1.305 0.753 7.442
C 1.305 0.753 12.273
C 1.305 0.753 13.907
```

Top 8 peaks for 2θ from 10° to 90°, by angle:
| 2θ/deg | d_spacing | I_rel |
| --- | --- | --- |
| 12.5 | 7.059 | 100 |
| 18.9 | 4.706 | 18 |
| 42.0 | 2.152 | 93 |
| 44.5 | 2.037 | 18 |
| 44.9 | 2.017 | 26 |
| 72.4 | 1.305 | 29 |
| 73.5 | 1.289 | 23 |
| 89.5 | 1.095 | 16 |

***

The following is a computed powder XRD pattern of Pu4HgI8. It was derived from a cell relaxed with GGA-PBE, using Cu Kα X-rays.
Intensities are scaled so that the largest is 100.

```
13
Lattice="10.970 -2.203 0.000 10.970 2.203 0.000 -9.676 0.000 11.726" Properties=species:S:1:pos:R:3 pbc="T T T"
Pu 0.000 0.000 0.000
Pu -2.853 0.000 8.161
Pu 7.591 0.000 4.207
Pu 14.419 0.000 0.691
Hg 13.346 0.000 6.196
I -1.368 0.000 5.315
I 1.983 0.000 2.425
I -4.382 0.000 11.001
I 9.132 0.000 1.397
I 2.764 0.000 9.987
I 6.108 0.000 7.055
I 10.166 0.000 9.162
I 16.528 0.000 3.197
```

Top 8 peaks for 2θ from 10° to 90°, by angle:
| 2θ/deg | d_spacing | I_rel |
| --- | --- | --- |
| 11.7 | 7.581 | 53 |
| 23.7 | 3.753 | 64 |
| 25.7 | 3.473 | 79 |
| 26.8 | 3.321 | 60 |
| 31.7 | 2.820 | 48 |
| 31.9 | 2.808 | 94 |
| 40.0 | 2.253 | 100 |
| 41.0 | 2.203 | 48 |

***

The following is a computed powder XRD pattern of RbPdCl. It was derived from a cell relaxed with GGA-PBE, using Cu Kα X-rays.
Intensities are scaled so that the largest is 100.

```
6
Lattice="3.169 -3.141 0.000 3.169 3.141 0.000 -0.034 0.000 8.241" Properties=species:S:1:pos:R:3 pbc="T T T"
Rb 1.560 0.000 2.672
Rb 4.744 0.000 5.570
Pd 1.584 1.570 0.000
Pd 1.584 -1.570 0.000
Cl 1.572 0.000 6.265
Cl 4.732 0.000 1.976
```

Top 8 peaks for 2θ from 10° to 90°, by angle:
| 2θ/deg | d_spacing | I_rel |
| --- | --- | --- |
| 10.7 | 8.241 | 92 |
| 28.2 | 3.169 | 100 |
| 29.5 | 3.027 | 36 |
| 30.5 | 2.935 | 64 |
| 32.6 | 2.747 | 44 |
| 36.0 | 2.498 | 73 |
| 42.0 | 2.153 | 52 |
| 46.3 | 1.959 | 35 |

***

The following is a computed powder XRD pattern of KY2I6. It was derived from a cell relaxed with GGA-PBE, using Cu Kα X-rays.
Intensities are scaled so that the largest is 100.

```
9
Lattice="9.308 -2.157 0.000 9.308 2.157 0.000 -2.494 0.000 10.570" Properties=species:S:1:pos:R:3 pbc="T T T"
K 0.000 0.000 0.000
Y 4.518 0.000 6.947
Y 11.605 0.000 3.623
I 1.600 0.000 5.787
I 3.245 0.000 1.638
I 7.336 0.000 7.876
I 8.786 0.000 2.694
I 12.877 0.000 8.932
I 14.523 0.000 4.783
```

Top 8 peaks for 2θ from 10° to 90°, by angle:
| 2θ/deg | d_spacing | I_rel |
| --- | --- | --- |
| 11.3 | 7.823 | 39 |
| 22.7 | 3.912 | 24 |
| 23.1 | 3.855 | 23 |
| 25.4 | 3.511 | 35 |
| 26.4 | 3.375 | 100 |
| 29.6 | 3.020 | 32 |
| 33.5 | 2.671 | 19 |
| 40.9 | 2.207 | 35 |

***

The following is a computed powder XRD pattern of CeGaCo4H6. It was derived from a cell relaxed with GGA-PBE, using Cu Kα X-rays.
Intensities are scaled so that the largest is 100.

```
12
Lattice="4.258 0.000 0.000 -2.129 3.687 0.000 0.000 0.000 6.624" Properties=species:S:1:pos:R:3 pbc="T T T"
Ce 0.000 0.000 0.000
Ga 0.000 0.000 3.312
Co 0.000 2.458 2.125
Co 0.000 2.458 4.499
Co 2.129 1.229 2.125
Co 2.129 1.229 4.499
H -1.064 1.844 1.064
H -1.064 1.844 5.561
H 2.129 0.000 1.064
H 2.129 0.000 5.561
H 1.064 1.844 1.064
H 1.064 1.844 5.561
```

Top 8 peaks for 2θ from 10° to 90°, by angle:
| 2θ/deg | d_spacing | I_rel |
| --- | --- | --- |
| 27.7 | 3.222 | 34 |
| 36.5 | 2.464 | 100 |
| 40.9 | 2.208 | 13 |
| 42.5 | 2.129 | 80 |
| 57.2 | 1.611 | 26 |
| 60.4 | 1.533 | 24 |
| 61.4 | 1.511 | 14 |
| 73.8 | 1.285 | 24 |